# 1
For Li4SiPd5, a structure optimized by DFT (PBE) gives the calculated PXRD pattern in this record (λ = 1.5418 Å (Cu Kα)).
Neutral-atom scattering factors, no anomalous dispersion.

```
10
Lattice="-4.2347 4.2347 2.2908 4.2347 -4.2347 2.2908 4.2347 4.2347 -2.2908" Properties=species:S:1:pos:R:3 pbc="T T T"
Li 2.5622 0.0000 0.0000
Li 5.9073 0.0000 0.0000
Li 0.0000 2.5622 0.0000
Li 0.0000 5.9073 0.0000
Si 0.0000 0.0000 1.7804
Pd 2.6394 2.6394 -0.0639
Pd 1.5954 -1.5954 2.2269
Pd -1.5954 1.5954 2.2269
Pd 1.5954 1.5954 2.2269
Pd 0.0000 0.0000 4.1195
```

Peak list (10 most intense, 5° ≤ 2θ ≤ 70°, by angle)
d (Å), Position (°2θ), Rel. int.
5.989, 14.8, 80
4.235, 21.0, 27
2.994, 29.8, 46
2.919, 30.6, 47
2.403, 37.4, 100
2.291, 39.3, 25
2.090, 43.3, 26
1.996, 45.4, 32
1.505, 61.6, 23
1.488, 62.4, 22

---

# 2
For LiSi2Pd, a structure optimized by DFT (PBE) gives the calculated PXRD pattern in this record (λ = 1.5418 Å (Cu Kα)).
Neutral-atom scattering factors, no anomalous dispersion.

```
16
Lattice="4.1776 0.0000 0.0000 0.0000 9.4013 0.0000 0.0000 0.0000 6.1192" Properties=species:S:1:pos:R:3 pbc="T T T"
Li 0.0000 0.7983 1.5298
Li 0.0000 8.6030 4.5894
Li 2.0888 3.9024 4.5894
Li 2.0888 5.4989 1.5298
Si 0.0000 3.5480 0.3169
Si 0.0000 3.5480 2.7427
Si 0.0000 5.8533 3.3765
Si 0.0000 5.8533 5.8023
Si 2.0888 1.1527 3.3765
Si 2.0888 1.1527 5.8023
Si 2.0888 8.2486 0.3169
Si 2.0888 8.2486 2.7427
Pd 0.0000 1.9239 4.5894
Pd 0.0000 7.4774 1.5298
Pd 2.0888 2.7768 1.5298
Pd 2.0888 6.6245 4.5894
```

Peak list (10 most intense, 5° ≤ 2θ ≤ 70°, by angle)
d (Å), Position (°2θ), Rel. int.
4.701, 18.9, 61
3.728, 23.9, 49
3.239, 27.5, 100
2.564, 35.0, 27
2.387, 37.7, 25
2.320, 38.8, 41
2.194, 41.1, 22
2.089, 43.3, 27
1.939, 46.9, 37
1.799, 50.7, 41

---

# 3
For LiSiPd5, a structure optimized by DFT (PBE) gives the calculated PXRD pattern in this record (λ = 1.5418 Å (Cu Kα)).
Neutral-atom scattering factors, no anomalous dispersion.

```
14
Lattice="3.3263 -2.8803 0.0000 3.3263 2.8803 0.0000 0.0000 0.0000 10.9763" Properties=species:S:1:pos:R:3 pbc="T T T"
Li 3.3263 2.1567 8.2322
Li 3.3263 -2.1567 2.7441
Si 3.3263 0.0000 0.0000
Si 3.3263 0.0000 5.4881
Pd 1.4197 0.8567 6.6866
Pd 1.4197 0.8567 9.7778
Pd 1.4197 -0.8567 1.1984
Pd 1.4197 -0.8567 4.2897
Pd 3.3263 0.3161 2.7441
Pd 3.3263 -0.3161 8.2322
Pd 5.2328 0.8567 6.6866
Pd 5.2328 0.8567 9.7778
Pd 5.2328 -0.8567 1.1984
Pd 5.2328 -0.8567 4.2897
```

Peak list (10 most intense, 5° ≤ 2θ ≤ 70°, by angle)
d (Å), Position (°2θ), Rel. int.
4.048, 22.0, 33
3.326, 26.8, 43
2.786, 32.1, 32
2.744, 32.6, 28
2.322, 38.8, 35
2.263, 39.8, 95
2.136, 42.3, 79
2.117, 42.7, 100
2.069, 43.7, 32
1.871, 48.7, 35

---

# 4
For LiSm2SiPd6, a structure optimized by DFT (PBE) gives the calculated PXRD pattern in this record (λ = 1.5418 Å (Cu Kα)).
Neutral-atom scattering factors, no anomalous dispersion.

```
10
Lattice="5.5567 0.0000 0.0000 2.7048 5.6698 0.0000 2.6825 0.5505 5.8610" Properties=species:S:1:pos:R:3 pbc="T T T"
Li 0.0000 0.0000 0.0000
Sm 5.4613 4.4473 1.4641
Sm 5.4827 1.7729 4.3969
Si 2.6937 3.1101 2.9305
Pd 4.0428 4.2873 4.6253
Pd 2.7035 0.7990 3.4791
Pd 4.1120 1.8925 1.2660
Pd 6.8320 4.3277 4.5950
Pd 8.2406 5.4212 2.3819
Pd 6.9012 1.9329 1.2358
```

Peak list (10 most intense, 5° ≤ 2θ ≤ 70°, by angle)
d (Å), Position (°2θ), Rel. int.
2.931, 30.5, 49
2.822, 31.7, 27
2.554, 35.1, 24
2.510, 35.8, 44
2.455, 36.6, 38
2.350, 38.3, 36
2.308, 39.0, 34
2.260, 39.9, 100
2.135, 42.3, 22
2.101, 43.1, 21

---

# 5
For LiSm2Si3Pd4, a structure optimized by DFT (PBE) gives the calculated PXRD pattern in this record (λ = 1.5418 Å (Cu Kα)).
Neutral-atom scattering factors, no anomalous dispersion.

```
10
Lattice="4.2167 0.0000 0.0000 0.0000 4.2167 0.0000 0.0000 0.0000 9.9792" Properties=species:S:1:pos:R:3 pbc="T T T"
Li 0.0000 0.0000 0.0000
Sm 0.0000 2.1083 7.4994
Sm 2.1083 0.0000 2.4797
Si 0.0000 2.1083 3.6603
Si 2.1083 0.0000 6.3189
Si 2.1083 2.1083 0.0000
Pd 0.0000 0.0000 4.9896
Pd 0.0000 2.1083 1.2626
Pd 2.1083 0.0000 8.7166
Pd 2.1083 2.1083 4.9896
```

Peak list (10 most intense, 5° ≤ 2θ ≤ 70°, by angle)
d (Å), Position (°2θ), Rel. int.
3.326, 26.8, 15
2.982, 30.0, 25
2.857, 31.3, 39
2.612, 34.3, 79
2.559, 35.1, 100
2.108, 42.9, 61
1.804, 50.6, 29
1.640, 56.1, 38
1.491, 62.3, 20
1.371, 68.4, 23

---

# 6
For LiTbSi2Pd5, a structure optimized by DFT (PBE) gives the calculated PXRD pattern in this record (λ = 1.5418 Å (Cu Kα)).
Neutral-atom scattering factors, no anomalous dispersion.

```
9
Lattice="4.0935 0.0000 0.0000 0.0000 4.0935 0.0000 0.0000 0.0000 9.0832" Properties=species:S:1:pos:R:3 pbc="T T T"
Li 0.0000 0.0000 0.0000
Tb 0.0000 0.0000 4.5416
Si 2.0467 2.0467 1.1629
Si 2.0467 2.0467 7.9203
Pd 0.0000 2.0467 2.3897
Pd 0.0000 2.0467 6.6935
Pd 2.0467 0.0000 2.3897
Pd 2.0467 0.0000 6.6935
Pd 2.0467 2.0467 4.5416
```

Peak list (10 most intense, 5° ≤ 2θ ≤ 70°, by angle)
d (Å), Position (°2θ), Rel. int.
9.083, 9.7, 75
2.758, 32.5, 10
2.441, 36.8, 100
2.271, 39.7, 16
2.092, 43.2, 22
2.047, 44.3, 35
1.997, 45.4, 8
1.520, 60.9, 18
1.447, 64.4, 11
1.359, 69.1, 7

---

Number 1 is which compound?
Li4SiPd5

---

Which formula does entry 1 have?
Li4SiPd5

---

Please write out number 1 again, unchanged.
For Li4SiPd5, a structure optimized by DFT (PBE) gives the calculated PXRD pattern in this record (λ = 1.5418 Å (Cu Kα)).
Neutral-atom scattering factors, no anomalous dispersion.

```
10
Lattice="-4.2347 4.2347 2.2908 4.2347 -4.2347 2.2908 4.2347 4.2347 -2.2908" Properties=species:S:1:pos:R:3 pbc="T T T"
Li 2.5622 0.0000 0.0000
Li 5.9073 0.0000 0.0000
Li 0.0000 2.5622 0.0000
Li 0.0000 5.9073 0.0000
Si 0.0000 0.0000 1.7804
Pd 2.6394 2.6394 -0.0639
Pd 1.5954 -1.5954 2.2269
Pd -1.5954 1.5954 2.2269
Pd 1.5954 1.5954 2.2269
Pd 0.0000 0.0000 4.1195
```

Peak list (10 most intense, 5° ≤ 2θ ≤ 70°, by angle)
d (Å), Position (°2θ), Rel. int.
5.989, 14.8, 80
4.235, 21.0, 27
2.994, 29.8, 46
2.919, 30.6, 47
2.403, 37.4, 100
2.291, 39.3, 25
2.090, 43.3, 26
1.996, 45.4, 32
1.505, 61.6, 23
1.488, 62.4, 22